# 1
# TlAgSeCl6
Calculated powder X-ray diffraction pattern, λ = 1.5418 Å (Cu Kα). Input: the PBE geometry in Alexandria.
Intensities are scaled so that the largest is 100.

Largest 8 diffraction maxima, by intensity, 10 to 90 degrees two-theta:
| two_theta | intensity |
| --- | --- |
| 19.8 | 100 |
| 37.2 | 51 |
| 42.1 | 29 |
| 32.7 | 25 |
| 25.8 | 24 |
| 45.5 | 18 |
| 29.0 | 13 |
| 57.2 | 13 |

Crystal structure
Cell: 6.904 6.904 6.783 Å, 90.02 90.02 119.96°
Fractional positions:
Tl 0.000 0.000 0.000
Ag 0.333 0.667 0.500
Se 0.667 0.333 0.500
Cl 0.386 0.036 0.707
Cl 0.386 0.351 0.292
Cl 0.649 0.614 0.708
Cl 0.650 0.036 0.292
Cl 0.964 0.350 0.708
Cl 0.964 0.614 0.293



# 2
# TlAg2SeCl
Calculated powder X-ray diffraction pattern, λ = 1.5418 Å (Cu Kα). Input: the PBE geometry in Alexandria.
Intensities are scaled so that the largest is 100.

Largest 8 diffraction maxima, by intensity, 10 to 90 degrees two-theta:
| two_theta | intensity |
| --- | --- |
| 22.5 | 100 |
| 34.7 | 75 |
| 24.3 | 53 |
| 10.6 | 51 |
| 35.7 | 51 |
| 40.1 | 50 |
| 33.9 | 48 |
| 28.3 | 47 |

Crystal structure
Cell: 7.462 4.495 8.624 Å, 90.00 104.80 90.00°
Fractional positions:
Tl 0.061 0.250 0.257
Tl 0.939 0.750 0.743
Ag 0.434 0.250 0.572
Ag 0.476 0.750 0.812
Ag 0.524 0.250 0.188
Ag 0.566 0.750 0.428
Se 0.232 0.750 0.533
Se 0.768 0.250 0.467
Cl 0.321 0.750 0.067
Cl 0.679 0.250 0.933



# 3
# ZnAgSeCl
Calculated powder X-ray diffraction pattern, λ = 1.5418 Å (Cu Kα). Input: the PBE geometry in Alexandria.
Intensities are scaled so that the largest is 100.

Largest 8 diffraction maxima, by intensity, 10 to 90 degrees two-theta:
| two_theta | intensity |
| --- | --- |
| 26.7 | 100 |
| 44.5 | 43 |
| 42.9 | 43 |
| 25.4 | 29 |
| 51.9 | 23 |
| 50.5 | 16 |
| 52.6 | 14 |
| 25.6 | 14 |

Crystal structure
Cell: 4.072 4.072 7.393 Å, 106.00 106.00 60.01°
Fractional positions:
Zn 0.000 0.000 0.000
Ag 0.487 0.487 0.467
Se 0.367 0.367 0.102
Cl 0.884 0.884 0.656



# 4
# SiAgCl
Calculated powder X-ray diffraction pattern, λ = 1.5418 Å (Cu Kα). Input: the PBE geometry in Alexandria.
Intensities are scaled so that the largest is 100.

Largest 8 diffraction maxima, by intensity, 10 to 90 degrees two-theta:
| two_theta | intensity |
| --- | --- |
| 15.5 | 100 |
| 26.1 | 98 |
| 35.4 | 77 |
| 34.3 | 61 |
| 47.9 | 48 |
| 31.2 | 42 |
| 38.9 | 41 |
| 47.1 | 29 |

Crystal structure
Cell: 6.266 6.266 6.266 Å, 146.77 146.77 47.70°
Fractional positions:
Si 0.000 0.000 0.000
Ag 0.449 0.449 0.000
Cl 0.185 0.185 0.000



# 5
# SmAg2Cl5
Calculated powder X-ray diffraction pattern, λ = 1.5418 Å (Cu Kα). Input: the PBE geometry in Alexandria.
Intensities are scaled so that the largest is 100.

Largest 8 diffraction maxima, by intensity, 10 to 90 degrees two-theta:
| two_theta | intensity |
| --- | --- |
| 19.1 | 100 |
| 25.0 | 82 |
| 26.0 | 76 |
| 38.5 | 48 |
| 38.9 | 47 |
| 30.9 | 45 |
| 14.6 | 43 |
| 21.4 | 38 |

Crystal structure
Cell: 7.563 7.563 10.048 Å, 109.76 109.76 58.37°
Fractional positions:
Sm 0.000 0.000 0.000
Sm 0.000 0.000 0.500
Ag 0.307 0.437 0.810
Ag 0.437 0.307 0.310
Ag 0.565 0.693 0.688
Ag 0.693 0.565 0.188
Cl 0.089 0.329 0.139
Cl 0.148 0.852 0.250
Cl 0.248 0.598 0.551
Cl 0.329 0.089 0.639
Cl 0.402 0.754 0.949
Cl 0.598 0.248 0.051
Cl 0.671 0.912 0.361
Cl 0.754 0.402 0.449
Cl 0.852 0.148 0.750
Cl 0.912 0.671 0.861



# 6
# Ag2SnCl4
Calculated powder X-ray diffraction pattern, λ = 1.5418 Å (Cu Kα). Input: the PBE geometry in Alexandria.
Intensities are scaled so that the largest is 100.

Largest 8 diffraction maxima, by intensity, 10 to 90 degrees two-theta:
| two_theta | intensity |
| --- | --- |
| 45.1 | 100 |
| 29.9 | 98 |
| 33.0 | 59 |
| 16.9 | 59 |
| 23.2 | 58 |
| 28.8 | 51 |
| 16.3 | 38 |
| 53.4 | 25 |

Crystal structure
Cell: 6.503 6.503 6.503 Å, 107.69 107.69 113.10°
Fractional positions:
Ag 0.250 0.750 0.500
Ag 0.750 0.250 0.500
Sn 0.000 0.000 0.000
Cl 0.172 0.317 0.490
Cl 0.317 0.828 0.145
Cl 0.683 0.172 0.855
Cl 0.828 0.683 0.510



# 7
# AgSnCl4
Calculated powder X-ray diffraction pattern, λ = 1.5418 Å (Cu Kα). Input: the PBE geometry in Alexandria.
Intensities are scaled so that the largest is 100.

Largest 8 diffraction maxima, by intensity, 10 to 90 degrees two-theta:
| two_theta | intensity |
| --- | --- |
| 26.1 | 100 |
| 17.5 | 100 |
| 32.6 | 95 |
| 45.2 | 91 |
| 16.1 | 81 |
| 38.9 | 65 |
| 13.5 | 64 |
| 19.2 | 43 |

Crystal structure
Cell: 6.535 6.551 10.144 Å, 90.00 90.00 90.00°
Fractional positions:
Ag 0.000 0.000 0.000
Ag 0.500 0.500 0.000
Sn 0.000 0.000 0.500
Sn 0.500 0.000 0.000
Cl 0.208 0.209 0.373
Cl 0.208 0.791 0.627
Cl 0.240 0.263 0.871
Cl 0.240 0.737 0.129
Cl 0.760 0.263 0.129
Cl 0.760 0.737 0.871
Cl 0.792 0.209 0.627
Cl 0.792 0.791 0.373



# 8
# AgSnCl4
Calculated powder X-ray diffraction pattern, λ = 1.5418 Å (Cu Kα). Input: the PBE geometry in Alexandria.
Intensities are scaled so that the largest is 100.

Largest 8 diffraction maxima, by intensity, 10 to 90 degrees two-theta:
| two_theta | intensity |
| --- | --- |
| 18.2 | 100 |
| 33.9 | 44 |
| 44.6 | 31 |
| 38.7 | 29 |
| 28.1 | 29 |
| 39.4 | 23 |
| 52.9 | 18 |
| 27.0 | 15 |

Crystal structure
Cell: 7.366 7.366 7.366 Å, 137.95 137.95 60.99°
Fractional positions:
Ag 0.000 0.000 0.000
Sn 0.750 0.250 0.500
Cl 0.239 0.239 0.000
Cl 0.546 0.046 0.500
Cl 0.761 0.761 0.000
Cl 0.954 0.454 0.500